For MgMnWS4, the GGA-PBE geometry in Alexandria gives the theoretical powder diffractogram in this record (Cu Kα (λ = 1.5418 Å)).
No peak broadening, texture or thermal motion is included.

Cell and atoms:
Cell lengths 7.4151, 7.4151, 7.4151 Å; angles 124.71, 120.87, 85.27 degrees
Atoms (fractional coordinates):
Mg  0.0000  0.0000  0.0000
Mg  0.7344  0.2344  0.5000
Mn  0.3939  0.6525  0.7414
Mn  0.9111  0.6525  0.2586
W  0.3825  0.1802  0.7977
W  0.3825  0.5848  0.2023
S  0.1321  0.3934  0.7387
S  0.1596  0.4123  0.2527
S  0.1596  0.9069  0.7473
S  0.1665  0.8820  0.2845
S  0.5974  0.8820  0.7155
S  0.6066  0.3880  0.7814
S  0.6066  0.8251  0.2186
S  0.6546  0.3934  0.2613

Peak list (8 most intense, 5° ≤ 2θ ≤ 70°, by angle)
two_theta	Rel. int.
14.58	100.0
16.25	18.9
27.38	20.7
29.84	33.5
32.83	23.7
35.83	32.4
43.27	12.5
49.38	29.8